# Tm3Lu4Ni2Se2
Computed X-ray powder pattern, Cu Kα (λ = 1.5418 Å). Input: a cell relaxed with GGA-PBE.

Largest 12 diffraction maxima, by angle, 2θ = 10–90°:
2θ/deg, Rel. int.
29.81, 24
30.00, 27
31.45, 60
31.79, 32
34.49, 66
35.52, 100
35.94, 48
37.99, 23
48.72, 29
53.68, 25
56.41, 20
61.05, 26

Crystal structure
Cell: 8.9022 8.9022 8.9022 Å, 155.76 67.68 117.90°
Positions (direct):
1 Tm 0.0000 0.0000 0.0000
2 Tm 0.2853 0.4111 0.8742
3 Tm 0.5369 0.4111 0.1258
4 Lu 0.3027 0.6169 0.6857
5 Lu 0.6209 0.2606 0.3603
6 Lu 0.9003 0.2606 0.6397
7 Lu 0.9312 0.6169 0.3143
8 Ni 0.1584 0.9206 0.2378
9 Ni 0.6828 0.9206 0.7622
10 Se 0.2553 0.7553 0.5000
11 Se 0.6587 0.6587 0.0000

# CdTcO4
Computed X-ray powder pattern, Cu Kα (λ = 1.5418 Å). Input: a cell relaxed with GGA-PBE.

Largest 12 diffraction maxima, by angle, 2θ = 10–90°:
2θ/deg, Rel. int.
29.14, 100
31.23, 15
34.99, 18
47.59, 30
50.31, 13
54.29, 17
59.20, 26
60.42, 11
76.13, 7
77.16, 12
81.34, 5
84.46, 5

Crystal structure
Cell: 6.7801 6.7801 6.7801 Å, 135.55 135.55 64.68°
Positions (direct):
1 Cd 0.3750 0.1250 0.2500
2 Cd 0.6250 0.8750 0.7500
3 Tc 0.1250 0.3750 0.7500
4 Tc 0.8750 0.6250 0.2500
5 O 0.0445 0.2100 0.3392
6 O 0.2053 0.5445 0.3345
7 O 0.2900 0.1292 0.8345
8 O 0.3708 0.7053 0.1608
9 O 0.6292 0.2947 0.8392
10 O 0.7100 0.8708 0.1655
11 O 0.7947 0.4555 0.6655
12 O 0.9555 0.7900 0.6608

# HoEr2TmIn2
Computed X-ray powder pattern, Cu Kα (λ = 1.5418 Å). Input: a cell relaxed with GGA-PBE.

Largest 12 diffraction maxima, by angle, 2θ = 10–90°:
2θ/deg, Rel. int.
33.09, 97
33.56, 100
43.39, 7
47.84, 35
55.01, 8
59.70, 36
60.00, 19
66.00, 28
70.53, 12
80.14, 15
85.79, 14
89.74, 6

Crystal structure
Cell: 5.3413 5.3413 6.6770 Å, 90.00 90.00 120.00°
Positions (direct):
1 Ho 0.0000 0.0000 0.0000
2 Er 0.6667 0.3333 0.2503
3 Er 0.6667 0.3333 0.7497
4 Tm 0.3333 0.6667 0.5000
5 In 0.0000 0.0000 0.5000
6 In 0.3333 0.6667 0.0000